Diffraction record for Ca2La2Cu3O8. The powder diffractogram is calculated, not measured: it uses a crystal structure in the Materials Project, relaxed with PBE and Cu Kα X-rays.
Lines closer than 0.1° are merged.

Cell and atoms:
```
Ca2La2Cu3O8
1.0
-1.953 1.953 13.189
1.953 -1.953 13.189
1.953 1.953 -13.189
Ca La Cu O
2 2 3 8
direct
0.204 0.204 0.000 Ca
0.796 0.796 0.000 Ca
0.069 0.069 0.000 La
0.931 0.931 0.000 La
0.363 0.363 0.000 Cu
0.500 0.500 0.000 Cu
0.637 0.637 0.000 Cu
0.000 0.500 0.500 O
0.123 0.623 0.500 O
0.286 0.286 0.000 O
0.377 0.877 0.500 O
0.500 0.000 0.500 O
0.623 0.123 0.500 O
0.714 0.714 0.000 O
0.877 0.377 0.500 O
```

Most intense lines, 10° ≤ 2θ ≤ 90°, low angle first:
2θ (°), Rel. int.
32.42, 49
33.03, 100
38.41, 22
46.50, 33
58.21, 38
59.38, 18

Diffraction record for Sr4CaLaTl2Cu4O14. The powder diffractogram is calculated, not measured: it uses a crystal structure in the Materials Project, relaxed with PBE and Cu Kα X-rays.
Lines closer than 0.1° are merged.

Cell and atoms:
```
Sr4CaLaTl2Cu4O14
1.0
-2.713 2.713 12.317
2.713 -2.713 12.317
2.713 2.713 -12.317
Sr Ca La Tl Cu O
4 1 1 2 4 14
direct
0.146 0.146 0.000 Sr
0.352 0.352 0.000 Sr
0.648 0.648 0.000 Sr
0.854 0.854 0.000 Sr
0.000 0.000 0.000 Ca
0.500 0.500 0.000 La
0.250 0.750 0.500 Tl
0.750 0.250 0.500 Tl
0.072 0.572 0.500 Cu
0.428 0.928 0.500 Cu
0.572 0.072 0.500 Cu
0.928 0.428 0.500 Cu
0.164 0.664 0.500 O
0.184 0.184 0.497 O
0.184 0.687 0.000 O
0.250 0.250 0.000 O
0.313 0.313 0.497 O
0.313 0.816 0.000 O
0.336 0.836 0.500 O
0.664 0.164 0.500 O
0.687 0.184 0.000 O
0.687 0.687 0.503 O
0.750 0.750 0.000 O
0.816 0.313 0.000 O
0.816 0.816 0.503 O
0.836 0.336 0.500 O
```

Most intense lines, 10° ≤ 2θ ≤ 90°, low angle first:
2θ (°), Rel. int.
24.30, 19
27.39, 22
31.93, 100
33.02, 64
47.39, 34
58.29, 37

Diffraction record for CaMg14Cu. The powder diffractogram is calculated, not measured: it uses a crystal structure in the Materials Project, relaxed with PBE and Cu Kα X-rays.
Lines closer than 0.1° are merged.

Cell and atoms:
```
CaMg14Cu
1.0
6.424 0.000 0.000
-3.212 5.564 0.000
0.000 0.000 10.320
Ca Mg Cu
1 14 1
direct
0.000 0.000 0.000 Ca
0.010 0.505 0.000 Mg
0.164 0.328 0.267 Mg
0.164 0.328 0.733 Mg
0.164 0.836 0.267 Mg
0.164 0.836 0.733 Mg
0.495 0.505 0.000 Mg
0.495 0.990 0.000 Mg
0.502 0.005 0.500 Mg
0.502 0.498 0.500 Mg
0.667 0.333 0.244 Mg
0.667 0.333 0.756 Mg
0.672 0.836 0.267 Mg
0.672 0.836 0.733 Mg
0.995 0.498 0.500 Mg
0.000 0.000 0.500 Cu
```

Most intense lines, 10° ≤ 2θ ≤ 90°, low angle first:
2θ (°), Rel. int.
32.18, 26
34.77, 25
36.70, 100
57.37, 17
63.60, 16
68.86, 18

Diffraction record for CaMg14Cu. The powder diffractogram is calculated, not measured: it uses a crystal structure in the Materials Project, relaxed with PBE and Cu Kα X-rays.
Lines closer than 0.1° are merged.

Cell and atoms:
```
CaMg14Cu
1.0
10.341 0.000 0.000
0.000 3.171 5.593
0.000 -3.171 5.593
Ca Mg Cu
1 14 1
direct
0.000 0.000 0.000 Ca
0.000 0.014 0.489 Mg
0.000 0.489 0.014 Mg
0.231 0.655 0.655 Mg
0.252 0.167 0.653 Mg
0.252 0.653 0.167 Mg
0.261 0.162 0.162 Mg
0.500 0.496 0.496 Mg
0.500 0.499 0.992 Mg
0.500 0.992 0.499 Mg
0.500 0.994 0.994 Mg
0.739 0.162 0.162 Mg
0.748 0.167 0.653 Mg
0.748 0.653 0.167 Mg
0.769 0.655 0.655 Mg
0.000 0.489 0.489 Cu
```

Most intense lines, 10° ≤ 2θ ≤ 90°, low angle first:
2θ (°), Rel. int.
32.46, 27
34.70, 40
36.53, 55
36.94, 100
63.66, 18
68.78, 19

Diffraction record for Ca3CuN3. The powder diffractogram is calculated, not measured: it uses a crystal structure in the Materials Project, relaxed with PBE and Cu Kα X-rays.
Lines closer than 0.1° are merged.

Cell and atoms:
```
Ca3CuN3
1.0
7.187 0.000 0.000
-3.594 6.224 0.000
0.000 0.000 5.023
Ca Cu N
6 2 6
direct
0.073 0.358 0.250 Ca
0.285 0.927 0.250 Ca
0.358 0.285 0.750 Ca
0.642 0.715 0.250 Ca
0.715 0.073 0.750 Ca
0.927 0.642 0.750 Ca
0.333 0.667 0.750 Cu
0.667 0.333 0.250 Cu
0.087 0.391 0.750 N
0.304 0.913 0.750 N
0.391 0.304 0.250 N
0.609 0.696 0.750 N
0.696 0.087 0.250 N
0.913 0.609 0.250 N
```

Most intense lines, 10° ≤ 2θ ≤ 90°, low angle first:
2θ (°), Rel. int.
14.23, 54
22.75, 56
30.59, 53
33.88, 100
35.75, 80
43.63, 58

Diffraction record for Ca5Cu2N4. The powder diffractogram is calculated, not measured: it uses a crystal structure in the Materials Project, relaxed with PBE and Cu Kα X-rays.
Lines closer than 0.1° are merged.

Cell and atoms:
```
Ca5Cu2N4
1.0
8.013 0.000 0.000
0.000 8.013 0.000
0.000 0.000 12.417
Ca Cu N
20 8 16
direct
0.078 0.633 0.090 Ca
0.078 0.867 0.590 Ca
0.133 0.578 0.410 Ca
0.133 0.922 0.910 Ca
0.250 0.250 0.138 Ca
0.250 0.250 0.638 Ca
0.367 0.578 0.910 Ca
0.367 0.922 0.410 Ca
0.422 0.633 0.590 Ca
0.422 0.867 0.090 Ca
0.578 0.133 0.910 Ca
0.578 0.367 0.410 Ca
0.633 0.078 0.590 Ca
0.633 0.422 0.090 Ca
0.750 0.750 0.362 Ca
0.750 0.750 0.862 Ca
0.867 0.078 0.090 Ca
0.867 0.422 0.590 Ca
0.922 0.133 0.410 Ca
0.922 0.367 0.910 Ca
0.093 0.593 0.750 Cu
0.093 0.907 0.250 Cu
0.407 0.593 0.250 Cu
0.407 0.907 0.750 Cu
0.593 0.093 0.250 Cu
0.593 0.407 0.750 Cu
0.907 0.093 0.750 Cu
0.907 0.407 0.250 Cu
0.052 0.637 0.896 N
0.052 0.863 0.396 N
0.137 0.552 0.604 N
0.137 0.948 0.104 N
0.363 0.552 0.104 N
0.363 0.948 0.604 N
0.448 0.637 0.396 N
0.448 0.863 0.896 N
0.552 0.137 0.104 N
0.552 0.363 0.604 N
0.637 0.052 0.396 N
0.637 0.448 0.896 N
0.863 0.052 0.896 N
0.863 0.448 0.396 N
0.948 0.137 0.604 N
0.948 0.363 0.104 N
```

Most intense lines, 10° ≤ 2θ ≤ 90°, low angle first:
2θ (°), Rel. int.
15.64, 23
25.88, 21
28.76, 15
33.06, 100
35.42, 56
43.74, 15

Diffraction record for Ca2CuN2. The powder diffractogram is calculated, not measured: it uses a crystal structure in the Materials Project, relaxed with PBE and Cu Kα X-rays.
Lines closer than 0.1° are merged.

Cell and atoms:
```
Ca2CuN2
1.0
5.428 -2.489 0.000
5.428 2.489 0.000
-3.502 0.000 5.882
Ca Cu N
4 2 4
direct
0.040 0.040 0.262 Ca
0.324 0.324 0.919 Ca
0.676 0.676 0.081 Ca
0.960 0.960 0.738 Ca
0.364 0.364 0.384 Cu
0.636 0.636 0.616 Cu
0.183 0.183 0.099 N
0.476 0.476 0.702 N
0.524 0.524 0.298 N
0.817 0.817 0.901 N
```

Most intense lines, 10° ≤ 2θ ≤ 90°, low angle first:
2θ (°), Rel. int.
22.15, 61
32.30, 100
33.99, 73
34.78, 46
36.08, 90
44.00, 48

Diffraction record for Ca2Nb2CuO8. The powder diffractogram is calculated, not measured: it uses a crystal structure in the Materials Project, relaxed with PBE and Cu Kα X-rays.
Lines closer than 0.1° are merged.

Cell and atoms:
```
Ca2Nb2CuO8
1.0
9.557 -3.368 0.000
9.557 3.368 0.000
-0.305 0.000 5.461
Ca Nb Cu O
4 4 2 16
direct
0.034 0.379 0.244 Ca
0.379 0.034 0.744 Ca
0.621 0.966 0.256 Ca
0.966 0.621 0.756 Ca
0.239 0.526 0.265 Nb
0.474 0.761 0.235 Nb
0.526 0.239 0.765 Nb
0.761 0.474 0.735 Nb
0.236 0.764 0.750 Cu
0.764 0.236 0.250 Cu
0.033 0.338 0.829 O
0.140 0.741 0.469 O
0.252 0.372 0.512 O
0.259 0.860 0.031 O
0.302 0.546 0.934 O
0.338 0.033 0.329 O
0.372 0.252 0.012 O
0.454 0.698 0.566 O
0.546 0.302 0.434 O
0.628 0.748 0.988 O
0.662 0.967 0.671 O
0.698 0.454 0.066 O
0.741 0.140 0.969 O
0.748 0.628 0.488 O
0.860 0.259 0.531 O
0.967 0.662 0.171 O
```

Most intense lines, 10° ≤ 2θ ≤ 90°, low angle first:
2θ (°), Rel. int.
13.94, 84
24.72, 60
30.83, 100
31.20, 74
32.22, 77
37.05, 54

Diffraction record for CaNd2Cu4O8. The powder diffractogram is calculated, not measured: it uses a crystal structure in the Materials Project, relaxed with PBE and Cu Kα X-rays.
Lines closer than 0.1° are merged.

Cell and atoms:
```
CaNd2Cu4O8
1.0
3.247 -5.387 0.000
3.247 5.387 0.000
0.000 0.000 11.421
Ca Nd Cu O
2 4 8 16
direct
0.250 0.750 0.750 Ca
0.750 0.250 0.250 Ca
0.250 0.750 0.085 Nd
0.250 0.750 0.415 Nd
0.750 0.250 0.585 Nd
0.750 0.250 0.915 Nd
0.250 0.250 0.068 Cu
0.250 0.250 0.318 Cu
0.250 0.250 0.568 Cu
0.250 0.250 0.818 Cu
0.750 0.750 0.182 Cu
0.750 0.750 0.432 Cu
0.750 0.750 0.682 Cu
0.750 0.750 0.932 Cu
0.071 0.321 0.442 O
0.102 0.349 0.694 O
0.151 0.398 0.194 O
0.179 0.429 0.942 O
0.321 0.071 0.942 O
0.349 0.102 0.194 O
0.398 0.151 0.694 O
0.429 0.179 0.442 O
0.571 0.821 0.558 O
0.602 0.849 0.306 O
0.651 0.898 0.806 O
0.679 0.929 0.058 O
0.821 0.571 0.058 O
0.849 0.602 0.806 O
0.898 0.651 0.306 O
0.929 0.679 0.558 O
```

Most intense lines, 10° ≤ 2θ ≤ 90°, low angle first:
2θ (°), Rel. int.
28.41, 73
32.19, 100
33.26, 28
37.09, 44
42.79, 32
58.77, 27

Diffraction record for Sr8Ca3NdTl2Cu8Pb2O28. The powder diffractogram is calculated, not measured: it uses a crystal structure in the Materials Project, relaxed with PBE and Cu Kα X-rays.
Lines closer than 0.1° are merged.

Cell and atoms:
```
Sr8Ca3NdTl2Cu8Pb2O28
1.0
0.000 5.388 12.268
5.387 0.000 12.268
5.387 5.388 0.000
Sr Ca Nd Tl Cu Pb O
8 3 1 2 8 2 28
direct
0.143 0.143 0.357 Sr
0.143 0.143 0.857 Sr
0.355 0.355 0.645 Sr
0.357 0.357 0.143 Sr
0.643 0.643 0.857 Sr
0.645 0.645 0.355 Sr
0.857 0.857 0.143 Sr
0.857 0.857 0.643 Sr
0.000 0.000 0.000 Ca
0.000 0.000 0.500 Ca
0.500 0.500 0.000 Ca
0.500 0.500 0.500 Nd
0.000 0.500 0.500 Tl
0.500 0.000 0.000 Tl
0.179 0.682 0.821 Cu
0.180 0.683 0.317 Cu
0.317 0.820 0.180 Cu
0.318 0.821 0.682 Cu
0.682 0.179 0.318 Cu
0.683 0.180 0.820 Cu
0.820 0.317 0.683 Cu
0.821 0.318 0.179 Cu
0.000 0.500 0.000 Pb
0.500 0.000 0.500 Pb
0.064 0.064 0.187 O
0.064 0.064 0.684 O
0.086 0.585 0.415 O
0.088 0.587 0.912 O
0.187 0.684 0.064 O
0.187 0.685 0.564 O
0.250 0.250 0.250 O
0.250 0.250 0.750 O
0.315 0.813 0.436 O
0.316 0.813 0.936 O
0.413 0.912 0.587 O
0.415 0.914 0.086 O
0.436 0.436 0.315 O
0.436 0.436 0.813 O
0.564 0.564 0.187 O
0.564 0.564 0.685 O
0.585 0.086 0.914 O
0.587 0.088 0.413 O
0.684 0.187 0.064 O
0.685 0.187 0.564 O
0.750 0.750 0.250 O
0.750 0.750 0.750 O
0.813 0.315 0.436 O
0.813 0.316 0.936 O
0.912 0.413 0.088 O
0.914 0.415 0.585 O
0.936 0.936 0.316 O
0.936 0.936 0.813 O
```

Most intense lines, 10° ≤ 2θ ≤ 90°, low angle first:
2θ (°), Rel. int.
27.56, 39
32.11, 100
33.26, 73
44.78, 19
47.75, 38
58.71, 36